[1]
# Ba2DyBr2O2
Computed X-ray powder pattern, CuKα. Input: a crystal structure in Alexandria, relaxed with PBE.

Atomic structure:
Lattice parameters (Å, degrees): 4.5579 4.5579 16.9880 90.00 90.00 90.00
Space group I4/mmm (No. 139)
Asymmetric unit:
Ba 0.0000 0.0000 0.1088 [4 per cell]
Dy 0.0000 0.0000 0.5000 [2 per cell]
Br 0.0000 0.0000 0.3194 [4 per cell]
O 0.0000 0.5000 0.0000 [4 per cell]

Peak list (10 most intense, 2θ from 15° to 90°, by intensity)
2theta	I (rel.)
32.9	100
27.7	80
52.3	53
39.5	38
81.2	15
64.7	15
57.2	13
67.5	12
25.1	10
61.7	9



[2]
# Th4GaSi
Computed X-ray powder pattern, CuKα. Input: a crystal structure in Alexandria, relaxed with PBE.

Atomic structure:
Lattice parameters (Å, degrees): 7.4294 7.4294 5.9454 90.00 90.00 90.00
Space group P4/mcc (No. 124)
Asymmetric unit:
Th 0.1575 0.3345 0.0000 [8 per cell]
Ga 0.5000 0.5000 0.2500 [2 per cell]
Si 0.0000 0.0000 0.2500 [2 per cell]

Peak list (10 most intense, 2θ from 15° to 90°, by intensity)
2theta	I (rel.)
30.8	100
53.9	22
38.3	20
30.1	18
53.1	18
61.5	15
38.8	15
70.0	12
85.8	11
34.7	10